[1]
For Tb3TaO7, a PBE-relaxed structure gives the calculated powder diffraction line list in this record (Cu Kα (weighted mean of Kα1 and Kα2)).
Kinematic intensities with the Lorentz-polarization factor, no thermal factor.

Top 6 peaks for 10° ≤ 2θ ≤ 90°, in order of rising 2θ:
| d (Å) | I_rel | (hkl) |
| --- | --- | --- |
| 3.071 | 100 | 2 2 0 |
| 2.664 | 24 | 2 0 2 |
| 2.650 | 11 | 0 4 0 |
| 1.879 | 36 | 0 0 4 |
| 1.605 | 27 | 2 2 4 |
| 1.600 | 12 | 0 6 2 |

Structural model:
Unit cell a=7.5438 b=10.6015 c=7.5250 alpha=90.00 beta=90.00 gamma=90.00
Space group C222_1 (No. 20)
Symmetry-distinct sites (fractional):
Tb  0.0266  0.0000  0.0000 (multiplicity 4)
Tb  0.2324  0.2674  0.7546 (multiplicity 8)
Ta  0.0025  0.5000  0.0000 (multiplicity 4)
O  0.0000  0.1294  0.2500 (multiplicity 4)
O  0.0000  0.1380  0.7500 (multiplicity 4)
O  0.0000  0.4338  0.7500 (multiplicity 4)
O  0.1854  0.3728  0.0381 (multiplicity 8)
O  0.2027  0.3775  0.4723 (multiplicity 8)

[2]
For TbTaO4, a PBE-relaxed structure gives the calculated powder diffraction line list in this record (Cu Kα (weighted mean of Kα1 and Kα2)).
Kinematic intensities with the Lorentz-polarization factor, no thermal factor.

Top 6 peaks for 10° ≤ 2θ ≤ 90°, in order of rising 2θ:
| d (Å) | I_rel | (hkl) |
| --- | --- | --- |
| 3.176 | 100 | 0 2 1 |
| 2.986 | 84 | 2 2 -1 |
| 2.776 | 23 | 0 4 0 |
| 2.680 | 24 | 2 0 0 |
| 1.928 | 25 | 2 4 0 |
| 1.879 | 24 | 2 4 -2 |

Structural model:
Unit cell a=7.0935 b=11.1053 c=5.1233 alpha=90.00 beta=130.92 gamma=90.00
Space group C2/c (No. 15)
Symmetry-distinct sites (fractional):
Tb  0.0000  0.1304  0.2500 (multiplicity 4)
Ta  0.0000  0.3964  0.7500 (multiplicity 4)
O  0.1583  0.2903  0.6611 (multiplicity 8)
O  0.2445  0.4682  0.2065 (multiplicity 8)

[3]
For Ta2TeO8, a PBE-relaxed structure gives the calculated powder diffraction line list in this record (Cu Kα (weighted mean of Kα1 and Kα2)).
Kinematic intensities with the Lorentz-polarization factor, no thermal factor.

Top 6 peaks for 10° ≤ 2θ ≤ 90°, in order of rising 2θ:
| d (Å) | I_rel | (hkl) |
| --- | --- | --- |
| 4.976 | 45 | 4 0 0 |
| 4.494 | 64 | 3 1 0 |
| 3.491 | 100 | 3 1 -1 |
| 3.341 | 94 | 3 1 1 |
| 2.640 | 40 | 0 2 1 |
| 2.625 | 30 | 0 0 2 |

Structural model:
Unit cell a=19.9474 b=6.1098 c=5.2608 alpha=90.00 beta=93.74 gamma=90.00
Space group C2/c (No. 15)
Symmetry-distinct sites (fractional):
Ta  0.1329  0.1716  0.2366 (multiplicity 8)
Te  0.0000  0.3532  0.7500 (multiplicity 4)
O  0.0523  0.3925  0.4323 (multiplicity 8)
O  0.0579  0.1478  0.9178 (multiplicity 8)
O  0.1641  0.0795  0.5695 (multiplicity 8)
O  0.1844  0.3880  0.1504 (multiplicity 8)

[4]
For Ta2Te2O9, a PBE-relaxed structure gives the calculated powder diffraction line list in this record (Cu Kα (weighted mean of Kα1 and Kα2)).
Kinematic intensities with the Lorentz-polarization factor, no thermal factor.

Top 6 peaks for 10° ≤ 2θ ≤ 90°, in order of rising 2θ:
| d (Å) | I_rel | (hkl) |
| --- | --- | --- |
| 3.708 | 65 | 0 2 1 |
| 3.369 | 81 | 1 2 0 |
| 3.303 | 100 | 1 1 3 |
| 3.273 | 77 | 2 1 -1 |
| 3.177 | 53 | 2 1 -2 |
| 2.947 | 47 | 2 0 2 |

Structural model:
Unit cell a=7.2422 b=7.6672 c=14.9667 alpha=90.00 beta=102.38 gamma=90.00
Space group P2_1/c (No. 14)
Symmetry-distinct sites (fractional):
Ta  0.0538  0.1988  0.4317 (multiplicity 4)
Ta  0.3638  0.0045  0.0969 (multiplicity 4)
Te  0.1312  0.6285  0.3139 (multiplicity 4)
Te  0.4566  0.0661  0.3287 (multiplicity 4)
O  0.0000  0.0000  0.5000 (multiplicity 2)
O  0.1014  0.5885  0.1867 (multiplicity 4)
O  0.1130  0.1063  0.8486 (multiplicity 4)
O  0.1706  0.6671  0.5533 (multiplicity 4)
O  0.2098  0.1958  0.0394 (multiplicity 4)
O  0.2717  0.0592  0.2160 (multiplicity 4)
O  0.2803  0.0641  0.4059 (multiplicity 4)
O  0.4007  0.6519  0.3319 (multiplicity 4)
O  0.4870  0.1904  0.8297 (multiplicity 4)
O  0.5000  0.0000  0.0000 (multiplicity 2)

[5]
For ThTa2O7, a PBE-relaxed structure gives the calculated powder diffraction line list in this record (Cu Kα (weighted mean of Kα1 and Kα2)).
Kinematic intensities with the Lorentz-polarization factor, no thermal factor.

Top 6 peaks for 10° ≤ 2θ ≤ 90°, in order of rising 2θ:
| d (Å) | I_rel | (hkl) |
| --- | --- | --- |
| 3.797 | 73 | 1 1 0 |
| 3.491 | 82 | 1 1 -1 |
| 3.395 | 96 | 4 0 1 |
| 3.006 | 100 | 4 0 -2 |
| 2.792 | 68 | 0 0 3 |
| 2.778 | 93 | 1 1 2 |

Structural model:
Unit cell a=15.6281 b=3.9152 c=8.4186 alpha=90.00 beta=95.86 gamma=90.00
Space group C2/m (No. 12)
Symmetry-distinct sites (fractional):
Th  0.1882  0.0000  0.1665 (multiplicity 4)
Ta  0.0713  0.5000  0.8670 (multiplicity 4)
Ta  0.1082  0.5000  0.4802 (multiplicity 4)
O  0.0126  0.5000  0.6414 (multiplicity 4)
O  0.0564  0.5000  0.1080 (multiplicity 4)
O  0.0861  0.0000  0.8893 (multiplicity 4)
O  0.1075  0.0000  0.4358 (multiplicity 4)
O  0.1680  0.5000  0.6924 (multiplicity 4)
O  0.1953  0.5000  0.9978 (multiplicity 4)
O  0.1958  0.5000  0.3318 (multiplicity 4)

[6]
For TaTiO4, a PBE-relaxed structure gives the calculated powder diffraction line list in this record (Cu Kα (weighted mean of Kα1 and Kα2)).
Kinematic intensities with the Lorentz-polarization factor, no thermal factor.

Top 6 peaks for 10° ≤ 2θ ≤ 90°, in order of rising 2θ:
| d (Å) | I_rel | (hkl) |
| --- | --- | --- |
| 4.520 | 62 | 1 0 1 |
| 3.376 | 100 | 2 0 0 |
| 2.705 | 35 | 2 1 1 |
| 2.566 | 74 | 1 1 2 |
| 2.387 | 22 | 2 2 0 |
| 1.748 | 64 | 3 1 2 |

Structural model:
Unit cell a=6.7514 b=6.7514 c=6.0861 alpha=90.00 beta=90.00 gamma=90.00
Space group I4_1md (No. 109)
Symmetry-distinct sites (fractional):
Ta  0.0000  0.0000  0.0000 (multiplicity 4)
Ti  0.0000  0.0000  0.4903 (multiplicity 4)
O  0.0000  0.3007  0.4887 (multiplicity 8)
O  0.0000  0.3013  0.9975 (multiplicity 8)